Entry 1:
SrIn2P4O16: calculated powder diffraction line list (CuKα), based on DFT lattice parameters and positions (GGA-PBE).

Crystal structure
a = 9.5499 Å, b = 9.7944 Å, c = 14.1035 Å
α = 90.00°, β = 90.00°, γ = 90.00°
Space group C222_1 (No. 20)
Inequivalent atoms, fractional coordinates:
1 Sr 0.2256 0.0000 0.0000 (multiplicity 4)
2 In 0.0000 0.1497 0.7500 (multiplicity 4)
3 In 0.1420 0.5000 0.0000 (multiplicity 4)
4 P 0.0528 0.2025 0.5079 (multiplicity 8)
5 P 0.2002 0.4473 0.7618 (multiplicity 8)
6 O 0.0243 0.1449 0.9031 (multiplicity 8)
7 O 0.0264 0.1444 0.0783 (multiplicity 8)
8 O 0.0402 0.3606 0.5072 (multiplicity 8)
9 O 0.1210 0.4976 0.1517 (multiplicity 8)
10 O 0.1409 0.0240 0.2694 (multiplicity 8)
11 O 0.1691 0.2956 0.7451 (multiplicity 8)
12 O 0.1714 0.4697 0.3301 (multiplicity 8)
13 O 0.2107 0.1689 0.5058 (multiplicity 8)

Principal peaks in the range 15° ≤ 2θ ≤ 90°, sorted by position:
- 2θ 18.10, rel. 63, (0 2 0)
- 2θ 25.26, rel. 100, (0 0 4)
- 2θ 26.06, rel. 43, (2 2 0)
- 2θ 26.83, rel. 79, (2 2 1)
- 2θ 28.90, rel. 44, (1 3 0)
- 2θ 29.51, rel. 32, (3 1 0)
- 2θ 32.38, rel. 48, (2 2 3)
- 2θ 41.48, rel. 37, (2 4 0)

=====

Entry 2:
PrInO3: calculated powder diffraction line list (CuKα), based on DFT lattice parameters and positions (GGA-PBE).

Crystal structure
a = 5.9999 Å, b = 8.3251 Å, c = 5.7134 Å
α = 90.00°, β = 90.00°, γ = 90.00°
Space group Pnma (No. 62)
Inequivalent atoms, fractional coordinates:
1 Pr 0.0594 0.2500 0.0174 (multiplicity 4)
2 In 0.0000 0.0000 0.5000 (multiplicity 4)
3 O 0.0518 0.7500 0.3784 (multiplicity 4)
4 O 0.1949 0.5639 0.8078 (multiplicity 8)

Principal peaks in the range 15° ≤ 2θ ≤ 90°, sorted by position:
- 2θ 29.78, rel. 21, (2 0 0)
- 2θ 30.46, rel. 100, (1 2 1)
- 2θ 31.31, rel. 23, (0 0 2)
- 2θ 43.48, rel. 13, (0 4 0)
- 2θ 43.76, rel. 19, (2 0 2)
- 2θ 53.29, rel. 12, (3 2 1)
- 2θ 54.55, rel. 11, (0 4 2)
- 2θ 55.20, rel. 22, (1 2 3)

=====

Entry 3:
SrPrInO4: calculated powder diffraction line list (CuKα), based on DFT lattice parameters and positions (GGA-PBE).

Crystal structure
a = 5.9550 Å, b = 6.0234 Å, c = 12.4649 Å
α = 90.00°, β = 90.00°, γ = 90.00°
Space group P2_12_12_1 (No. 19)
Inequivalent atoms, fractional coordinates:
1 Sr 0.0076 0.0359 0.3525 (multiplicity 4)
2 Pr 0.0145 0.4433 0.8521 (multiplicity 4)
3 In 0.0037 0.9929 0.0008 (multiplicity 4)
4 O 0.0810 0.0503 0.8218 (multiplicity 4)
5 O 0.1098 0.4566 0.3312 (multiplicity 4)
6 O 0.1953 0.2022 0.5407 (multiplicity 4)
7 O 0.2229 0.2798 0.0302 (multiplicity 4)

Principal peaks in the range 15° ≤ 2θ ≤ 90°, sorted by position:
- 2θ 29.66, rel. 28, (0 2 0)
- 2θ 30.01, rel. 31, (2 0 0)
- 2θ 30.13, rel. 100, (1 1 3)
- 2θ 42.04, rel. 12, (1 1 5)
- 2θ 42.70, rel. 25, (2 2 0)
- 2θ 43.56, rel. 11, (0 0 6)
- 2θ 52.93, rel. 13, (1 3 3)
- 2θ 53.36, rel. 24, (3 1 3)